Calculated X-ray powder pattern
Compound: V2F7
Radiation: a wavelength of 1.5418 Å
Structure: a GGA+U-relaxed structure

Structural model:
Unit cell a=7.4127 b=10.8800 c=6.9762 alpha=90.00 beta=90.00 gamma=90.00
Space group Imma (No. 74)
Asymmetric unit:
V 0.0000 0.0000 0.0000
V 0.2500 0.2500 0.2500
F 0.0000 0.0506 0.7580
F 0.0000 0.2500 0.3451
F 0.1855 0.1214 0.0609

Main lines, sorted by position (2θ = 15–90°):
hkl	2theta	I_rel
0 1 1	15.09	100.0
1 0 1	17.46	62.3
1 2 1	23.97	47.6
0 3 1	27.72	23.0
2 1 1	28.48	26.3
2 2 0	29.15	41.0
0 2 2	30.44	18.4
0 4 2	42.17	14.4
0 3 3	46.38	14.1
4 0 0	49.10	28.5
3 4 1	51.68	16.4
2 2 4	61.13	18.0